1.
Starting from a GGA+U-relaxed structure, the X-ray diffraction stick pattern of MgMn12O17F7 was calculated for Cu Kα X-rays.
No peak broadening, texture or thermal motion is included.

Structural model:
```
MgMn12O17F7
1.0
4.629 0.000 0.000
0.019 5.752 0.000
0.189 1.119 15.401
Mg Mn O F
1 12 17 7
Cartesian
0.000 0.000 0.000
1.869 1.722 4.746
1.952 5.568 2.159
2.037 1.670 9.657
2.020 5.509 7.199
2.096 5.512 12.151
2.525 2.419 14.440
3.990 2.678 2.287
4.170 2.820 7.352
4.266 2.758 12.247
4.243 4.370 9.822
4.186 4.377 4.915
4.337 4.397 14.859
0.250 4.010 1.083
0.536 2.631 14.062
0.519 2.998 3.900
0.643 4.267 11.475
0.627 4.227 6.444
0.660 2.940 8.926
2.601 5.582 0.177
2.775 1.452 3.112
2.931 5.798 5.586
2.972 1.403 8.024
2.884 2.460 0.521
3.021 5.804 10.475
3.086 1.329 12.915
3.136 3.970 13.278
3.150 3.034 5.742
3.199 4.177 8.222
3.233 3.026 10.683
0.459 1.106 1.475
0.649 5.722 3.964
0.824 5.648 13.855
0.736 1.467 6.411
0.826 5.706 8.865
0.854 1.479 11.335
3.025 4.282 3.289
```

Most intense lines, 15° ≤ 2θ ≤ 90°, by angle:
- 24.72°, intensity 100
- 29.48°, intensity 50
- 29.81°, intensity 34
- 30.86°, intensity 51
- 31.08°, intensity 39
- 34.96°, intensity 21
- 42.07°, intensity 27
- 52.93°, intensity 35

---

2.
Starting from a GGA+U-relaxed structure, the X-ray diffraction stick pattern of Na4MgNi4O10 was calculated for Cu Kα X-rays.
No peak broadening, texture or thermal motion is included.

Structural model:
```
Na4MgNi4O10
1.0
5.090 0.000 0.000
-1.612 5.948 0.000
-0.637 -2.295 6.581
Na Mg Ni O
4 1 4 10
Cartesian
0.000 0.000 0.000
-0.204 1.564 3.085
0.815 -0.050 5.412
2.256 2.253 4.285
2.436 0.735 1.473
-0.965 4.515 2.742
1.565 3.717 1.519
3.210 -0.717 4.076
4.038 2.922 0.256
-1.190 0.841 5.032
-1.870 4.272 4.366
-0.052 4.609 1.027
0.651 2.119 0.978
0.746 3.663 3.259
1.703 0.258 3.325
1.853 1.591 6.477
2.666 -0.992 6.292
4.027 -0.597 2.106
3.149 2.736 1.968
```

Most intense lines, 15° ≤ 2θ ≤ 90°, by angle:
- 17.05°, intensity 100
- 34.49°, intensity 19
- 35.66°, intensity 26
- 37.25°, intensity 13
- 41.82°, intensity 48
- 42.03°, intensity 43
- 42.32°, intensity 43
- 64.07°, intensity 12

---

3.
Starting from a GGA+U-relaxed structure, the X-ray diffraction stick pattern of VRuN6F6 was calculated for Cu Kα X-rays.
No peak broadening, texture or thermal motion is included.

Structural model:
```
VRuN6F6
1.0
9.626 0.000 0.000
0.000 9.626 0.000
0.000 0.000 9.626
V Ru N F
4 4 24 24
Cartesian
0.000 0.000 0.000
0.000 4.813 4.813
4.813 0.000 4.813
4.813 4.813 0.000
0.000 0.000 4.813
0.000 4.813 0.000
4.813 0.000 0.000
4.813 4.813 4.813
0.555 1.104 6.311
0.555 3.709 1.498
1.104 6.311 0.555
1.104 8.129 5.369
1.498 0.555 3.709
1.498 4.258 8.523
3.316 5.369 3.709
3.316 9.071 8.523
3.709 1.498 0.555
3.709 3.316 5.369
4.258 5.917 6.311
4.258 8.523 1.498
5.369 1.104 8.129
5.369 3.709 3.316
5.917 6.311 4.258
5.917 8.129 9.071
6.311 0.555 1.104
6.311 4.258 5.917
8.129 5.369 1.104
8.129 9.071 5.917
8.523 1.498 4.258
8.523 3.316 9.071
9.071 5.917 8.129
9.071 8.523 3.316
0.596 5.984 3.557
0.596 8.455 8.370
1.171 1.256 9.030
1.171 3.557 4.217
1.256 5.409 5.984
1.256 9.030 1.171
3.557 0.596 5.984
3.557 4.217 1.171
3.642 6.069 9.030
3.642 8.370 4.217
4.217 1.171 3.557
4.217 3.642 8.370
5.409 5.984 1.256
5.409 8.455 6.069
5.984 1.256 5.409
5.984 3.557 0.596
6.069 5.409 8.455
6.069 9.030 3.642
8.370 0.596 8.455
8.370 4.217 3.642
8.455 6.069 5.409
8.455 8.370 0.596
9.030 1.171 1.256
9.030 3.642 6.069
```

Most intense lines, 15° ≤ 2θ ≤ 90°, by angle:
- 18.43°, intensity 100
- 26.18°, intensity 46
- 30.81°, intensity 10
- 32.21°, intensity 19
- 41.97°, intensity 15
- 46.20°, intensity 22
- 53.88°, intensity 11
- 57.44°, intensity 18

---

4.
Starting from a GGA+U-relaxed structure, the X-ray diffraction stick pattern of Li2MnF4 was calculated for Cu Kα X-rays.
No peak broadening, texture or thermal motion is included.

Structural model:
```
Li2MnF4
1.0
-3.270 3.315 3.442
3.270 -3.315 3.442
3.270 3.315 -3.442
Li Mn F
4 2 8
Cartesian
0.000 1.552 0.000
1.710 0.000 1.720
4.830 0.000 1.720
0.000 5.077 0.000
0.000 0.000 4.260
0.000 3.315 2.382
3.270 -1.364 1.535
3.270 2.028 -1.462
3.270 1.364 1.535
0.000 1.287 1.981
1.282 3.315 0.291
1.988 0.000 3.734
-1.927 3.315 3.210
1.927 3.315 3.210
```

Most intense lines, 15° ≤ 2θ ≤ 90°, by angle:
- 18.58°, intensity 90
- 18.71°, intensity 57
- 26.90°, intensity 62
- 27.27°, intensity 60
- 32.34°, intensity 75
- 37.95°, intensity 44
- 41.68°, intensity 100
- 42.99°, intensity 47

---

5.
Starting from a GGA+U-relaxed structure, the X-ray diffraction stick pattern of Fe14O15 was calculated for Cu Kα X-rays.
No peak broadening, texture or thermal motion is included.

Structural model:
```
Fe14O15
1.0
-3.437 3.437 6.487
3.437 -3.437 6.487
3.437 3.437 -6.487
Fe O
14 15
Cartesian
4.092 1.424 -2.150
2.070 0.789 0.000
0.000 0.000 2.108
1.424 2.781 -2.150
2.648 -1.366 6.487
4.092 1.424 2.150
2.013 0.656 4.337
1.424 2.781 2.150
-0.656 2.013 4.337
0.789 4.803 0.000
2.013 0.656 8.638
0.000 0.000 10.867
1.366 2.648 6.487
-0.656 2.013 8.638
0.000 0.000 0.000
4.834 -0.651 2.134
2.786 -1.398 4.353
4.205 1.212 0.000
2.039 0.651 2.134
0.000 0.000 4.130
1.212 2.669 0.000
-0.651 2.039 2.134
4.087 1.398 4.353
2.224 0.768 6.487
0.000 0.000 8.845
1.398 2.786 4.353
-0.768 2.224 6.487
0.651 4.834 2.134
-1.398 4.087 4.353
```

Most intense lines, 15° ≤ 2θ ≤ 90°, by angle:
- 35.84°, intensity 93
- 41.55°, intensity 100
- 41.77°, intensity 49
- 60.21°, intensity 28
- 60.38°, intensity 56
- 72.09°, intensity 23
- 72.40°, intensity 12
- 75.96°, intensity 25

---

6.
Starting from a GGA+U-relaxed structure, the X-ray diffraction stick pattern of FeOF was calculated for Cu Kα X-rays.
No peak broadening, texture or thermal motion is included.

Structural model:
```
FeOF
1.0
14.216 0.000 0.000
0.000 3.097 0.000
-0.087 0.000 14.240
Fe O F
18 18 18
Cartesian
0.000 0.000 0.000
-0.046 0.000 9.225
2.385 1.548 2.036
2.364 1.548 7.171
2.548 1.548 11.733
4.531 0.000 9.321
4.530 0.000 14.134
4.887 0.000 4.589
7.084 1.548 6.797
7.121 1.548 2.450
7.250 1.548 11.704
9.321 0.000 4.626
9.386 0.000 13.993
9.444 0.000 9.508
11.932 1.548 11.390
12.039 1.548 6.975
12.083 1.548 2.249
14.090 0.000 4.629
0.930 1.548 8.386
1.489 0.000 1.275
3.283 0.000 12.671
3.375 0.000 7.797
3.834 1.548 10.254
3.952 1.548 0.854
5.626 1.548 3.642
6.155 0.000 6.073
8.099 0.000 3.081
8.053 0.000 12.673
8.475 1.548 10.227
8.583 1.548 5.528
10.888 0.000 10.795
12.670 0.000 7.894
12.817 0.000 3.109
13.255 1.548 0.698
13.325 1.548 5.491
13.392 1.548 10.258
0.850 1.548 13.123
1.005 1.548 3.673
1.490 0.000 5.957
1.481 0.000 10.849
3.270 0.000 3.198
3.778 1.548 5.455
5.683 1.548 13.137
5.760 1.548 8.470
6.180 0.000 10.830
6.329 0.000 1.206
8.048 0.000 7.885
8.630 1.548 0.741
10.304 1.548 8.344
10.438 1.548 3.626
10.415 1.548 13.234
10.853 0.000 1.256
10.919 0.000 5.963
12.744 0.000 12.626
```

Most intense lines, 15° ≤ 2θ ≤ 90°, by angle:
- 26.50°, intensity 92
- 26.66°, intensity 91
- 34.59°, intensity 100
- 52.18°, intensity 54
- 52.37°, intensity 54
- 59.72°, intensity 18
- 66.34°, intensity 18
- 66.46°, intensity 29

---

7.
Starting from a GGA+U-relaxed structure, the X-ray diffraction stick pattern of Li9Mn2Co5O16 was calculated for Cu Kα X-rays.
No peak broadening, texture or thermal motion is included.

Structural model:
```
Li9Mn2Co5O16
1.0
10.481 -1.453 0.000
10.481 1.453 0.000
-4.001 0.000 9.305
Li Mn Co O
9 2 5 16
Cartesian
0.000 0.000 0.000
-1.196 0.000 8.747
0.869 0.000 4.063
6.595 0.000 2.911
4.636 0.000 7.643
12.326 0.000 1.663
10.367 0.000 6.394
16.093 0.000 5.242
18.159 0.000 0.558
9.485 0.000 2.267
7.477 0.000 7.038
-2.000 0.000 4.653
3.735 0.000 3.486
1.749 0.000 8.146
15.213 0.000 1.159
13.228 0.000 5.819
-1.710 0.000 6.589
0.274 0.000 2.104
3.384 0.000 1.463
1.392 0.000 6.102
6.059 0.000 0.880
4.082 0.000 5.524
9.044 0.000 0.490
7.220 0.000 4.990
9.742 0.000 4.315
7.918 0.000 8.815
12.881 0.000 3.781
10.903 0.000 8.425
15.570 0.000 3.203
13.578 0.000 7.842
16.689 0.000 7.202
18.672 0.000 2.716
```

Most intense lines, 15° ≤ 2θ ≤ 90°, by angle:
- 18.43°, intensity 100
- 35.96°, intensity 14
- 36.21°, intensity 26
- 37.75°, intensity 12
- 43.48°, intensity 28
- 43.90°, intensity 55
- 63.23°, intensity 15
- 63.77°, intensity 15

---

8.
Starting from a GGA+U-relaxed structure, the X-ray diffraction stick pattern of Mn4Cu3O12 was calculated for Cu Kα X-rays.
No peak broadening, texture or thermal motion is included.

Structural model:
```
Mn4Cu3O12
1.0
5.134 2.964 2.102
-5.134 2.964 2.102
0.000 -5.928 2.102
Mn Cu O
4 3 12
Cartesian
0.000 0.000 0.000
-2.567 -1.482 2.102
-2.567 1.482 4.204
0.000 2.964 2.102
-5.134 0.000 3.153
-2.567 1.482 1.051
2.567 1.482 1.051
-1.612 -0.125 1.060
0.914 -1.333 1.060
-0.921 -2.409 2.572
0.697 1.459 1.060
-2.547 -0.407 3.734
-1.626 2.002 2.572
1.626 -2.002 3.734
2.547 0.407 2.572
-0.697 -1.459 5.245
0.921 2.409 3.734
-0.914 1.333 5.245
1.612 0.125 5.245
```

Most intense lines, 15° ≤ 2θ ≤ 90°, by angle:
- 17.25°, intensity 27
- 30.12°, intensity 15
- 34.92°, intensity 100
- 39.20°, intensity 10
- 50.21°, intensity 27
- 62.51°, intensity 13
- 62.66°, intensity 38
- 84.21°, intensity 8